# 1
Diffraction record for LiV3OF11. The powder diffractogram is computed, not measured: it uses a cell relaxed with PBE+U and copper Kα.

Principal peaks in the range 15° ≤ 2θ ≤ 90°, in order of rising 2θ:
2θ 17.41, intensity 100, hkl 0 0 3; 2θ 24.95, intensity 85, hkl 1 1 1; 2θ 25.05, intensity 81, hkl 1 1 -2; 2θ 32.76, intensity 14, hkl 0 2 -1; 2θ 35.23, intensity 14, hkl 0 0 6; 2θ 38.87, intensity 16, hkl 2 1 -2; 2θ 47.79, intensity 14, hkl 2 -2 1; 2θ 47.91, intensity 14, hkl 2 2 -1; 2θ 50.98, intensity 15, hkl 1 1 -8; 2θ 53.98, intensity 20, hkl 0 0 9

Atomic structure:
Unit cell a=5.290 b=5.468 c=15.502 alpha=99.64 beta=90.11 gamma=90.13
Space group P1 (No. 1)
One atom of each set of equivalent atoms:
Li1 0.000 0.000 0.000 [1 per cell]
Li2 0.468 0.321 0.645 [1 per cell]
V1 0.274 0.329 0.155 [1 per cell]
V2 0.288 0.013 0.481 [1 per cell]
V3 0.294 0.687 0.824 [1 per cell]
V4 0.789 0.183 0.812 [1 per cell]
V5 0.793 0.520 0.484 [1 per cell]
V6 0.796 0.854 0.159 [1 per cell]
O1 0.072 0.059 0.132 [1 per cell]
O2 0.702 0.154 0.709 [1 per cell]
F1 0.001 0.870 0.798 [1 per cell]
F2 0.091 0.704 0.463 [1 per cell]
F3 0.103 0.384 0.798 [1 per cell]
F4 0.203 0.730 0.937 [1 per cell]
F5 0.217 0.409 0.269 [1 per cell]
F6 0.223 0.073 0.600 [1 per cell]
F7 0.371 0.313 0.043 [1 per cell]
F8 0.380 0.641 0.708 [1 per cell]
F9 0.381 0.983 0.370 [1 per cell]
F10 0.488 0.987 0.846 [1 per cell]
F11 0.495 0.328 0.514 [1 per cell]
F12 0.507 0.651 0.175 [1 per cell]
F13 0.577 0.147 0.179 [1 per cell]
F14 0.587 0.501 0.847 [1 per cell]
F15 0.591 0.823 0.508 [1 per cell]
F16 0.700 0.475 0.374 [1 per cell]
F17 0.722 0.819 0.042 [1 per cell]
F18 0.865 0.553 0.599 [1 per cell]
F19 0.876 0.893 0.271 [1 per cell]
F20 0.883 0.220 0.933 [1 per cell]
F21 0.988 0.211 0.463 [1 per cell]
F22 0.996 0.550 0.132 [1 per cell]



# 2
Diffraction record for SrEuVWO6. The powder diffractogram is computed, not measured: it uses a cell relaxed with PBE+U and copper Kα.

Principal peaks in the range 15° ≤ 2θ ≤ 90°, in order of rising 2θ:
2θ 19.05, intensity 25, hkl 1 1 1; 2θ 31.36, intensity 100, hkl 2 2 0; 2θ 36.96, intensity 14, hkl 3 1 1; 2θ 44.95, intensity 30, hkl 4 0 0; 2θ 49.23, intensity 6, hkl 3 3 1; 2θ 55.83, intensity 40, hkl 4 2 2; 2θ 59.55, intensity 5, hkl 5 1 1; 2θ 65.45, intensity 19, hkl 4 4 0; 2θ 74.37, intensity 17, hkl 6 2 0; 2θ 82.92, intensity 6, hkl 4 4 4

Atomic structure:
Unit cell a=8.067 b=8.067 c=8.067 alpha=90.00 beta=90.00 gamma=90.00
Space group F-43m (No. 216)
One atom of each set of equivalent atoms:
Sr1 0.000 0.000 0.000 [4 per cell]
Eu1 0.000 0.000 0.500 [4 per cell]
V1 0.250 0.250 0.250 [4 per cell]
W1 0.250 0.250 0.750 [4 per cell]
O1 0.008 0.250 0.750 [24 per cell]



# 3
Diffraction record for Li3V2Si2O10. The powder diffractogram is computed, not measured: it uses a cell relaxed with PBE+U and copper Kα.

Principal peaks in the range 15° ≤ 2θ ≤ 90°, in order of rising 2θ:
2θ 19.49, intensity 23, hkl 0 1 0; 2θ 21.53, intensity 88, hkl 1 0 2; 2θ 21.87, intensity 79, hkl 1 1 0; 2θ 23.90, intensity 19, hkl 1 1 1; 2θ 27.61, intensity 46, hkl 2 0 2; 2θ 34.02, intensity 100, hkl 2 1 2; 2θ 37.18, intensity 21, hkl 3 1 1; 2θ 42.07, intensity 20, hkl 1 2 1; 2θ 46.65, intensity 21, hkl 3 1 3; 2θ 57.01, intensity 26, hkl 4 0 4

Atomic structure:
Unit cell a=8.996 b=4.554 c=9.288 alpha=90.00 beta=90.00 gamma=90.00
Space group Pmc2_1 (No. 26)
One atom of each set of equivalent atoms:
Li1 0.000 0.116 0.000 [2 per cell]
Li2 0.254 0.499 0.502 [4 per cell]
V1 0.000 0.457 0.714 [2 per cell]
V2 0.500 0.076 0.508 [2 per cell]
Si1 0.251 0.000 0.257 [4 per cell]
O1 0.000 0.303 0.550 [2 per cell]
O2 0.146 0.244 0.840 [4 per cell]
O3 0.150 0.240 0.169 [4 per cell]
O4 0.352 0.183 0.373 [4 per cell]
O5 0.353 0.188 0.643 [4 per cell]
O6 0.500 0.283 0.009 [2 per cell]



# 4
Diffraction record for Li4VFeTe2O12. The powder diffractogram is computed, not measured: it uses a cell relaxed with PBE+U and copper Kα.

Principal peaks in the range 15° ≤ 2θ ≤ 90°, in order of rising 2θ:
2θ 21.03, intensity 28, hkl 1 0 1; 2θ 23.91, intensity 100, hkl 1 -1 0; 2θ 24.07, intensity 49, hkl 1 1 0; 2θ 33.34, intensity 54, hkl 1 -1 2; 2θ 34.99, intensity 22, hkl 1 1 2; 2θ 40.38, intensity 15, hkl 1 0 3; 2θ 42.81, intensity 17, hkl 2 0 -2; 2θ 54.11, intensity 20, hkl 2 -2 2; 2θ 54.38, intensity 13, hkl 2 2 -2; 2θ 62.56, intensity 12, hkl -3 1 2

Atomic structure:
Unit cell a=5.126 b=5.381 c=7.468 alpha=93.74 beta=90.07 gamma=90.29
Space group P1 (No. 1)
One atom of each set of equivalent atoms:
Li1 0.000 0.000 0.000 [1 per cell]
Li2 0.001 0.985 0.520 [1 per cell]
Li3 0.498 0.453 0.531 [1 per cell]
Li4 0.506 0.483 0.002 [1 per cell]
V1 0.005 0.533 0.242 [1 per cell]
Fe1 0.501 0.035 0.732 [1 per cell]
Te1 0.008 0.546 0.740 [1 per cell]
Te2 0.501 0.033 0.229 [1 per cell]
O1 0.129 0.562 0.985 [1 per cell]
O2 0.180 0.863 0.288 [1 per cell]
O3 0.192 0.251 0.661 [1 per cell]
O4 0.301 0.735 0.656 [1 per cell]
O5 0.303 0.366 0.287 [1 per cell]
O6 0.380 0.072 0.989 [1 per cell]
O7 0.625 0.070 0.468 [1 per cell]
O8 0.688 0.375 0.778 [1 per cell]
O9 0.700 0.744 0.154 [1 per cell]
O10 0.806 0.256 0.161 [1 per cell]
O11 0.834 0.864 0.775 [1 per cell]
O12 0.880 0.556 0.465 [1 per cell]



# 5
Diffraction record for V3O8. The powder diffractogram is computed, not measured: it uses a cell relaxed with PBE+U and copper Kα.

Principal peaks in the range 15° ≤ 2θ ≤ 90°, in order of rising 2θ:
2θ 17.93, intensity 67, hkl 3 0 1; 2θ 18.72, intensity 62, hkl 0 0 2; 2θ 24.25, intensity 48, hkl 3 0 2; 2θ 25.95, intensity 96, hkl 0 1 1; 2θ 26.28, intensity 33, hkl 2 1 0; 2θ 27.92, intensity 35, hkl 2 1 1; 2θ 30.25, intensity 49, hkl 3 1 1; 2θ 31.90, intensity 100, hkl 5 0 2; 2θ 32.46, intensity 31, hkl 2 1 2; 2θ 49.49, intensity 47, hkl 0 2 0

Atomic structure:
Unit cell a=17.394 b=3.683 c=9.481 alpha=90.00 beta=90.00 gamma=90.00
Space group Pnma (No. 62)
One atom of each set of equivalent atoms:
V1 0.044 0.250 0.127 [4 per cell]
V2 0.051 0.750 0.590 [4 per cell]
V3 0.152 0.750 0.948 [4 per cell]
O1 0.020 0.250 0.574 [4 per cell]
O2 0.042 0.750 0.072 [4 per cell]
O3 0.055 0.750 0.786 [4 per cell]
O4 0.095 0.250 0.270 [4 per cell]
O5 0.120 0.250 0.971 [4 per cell]
O6 0.139 0.750 0.538 [4 per cell]
O7 0.218 0.750 0.820 [4 per cell]
O8 0.220 0.750 0.075 [4 per cell]



# 6
Diffraction record for KUVO6. The powder diffractogram is computed, not measured: it uses a cell relaxed with PBE+U and copper Kα.

Principal peaks in the range 15° ≤ 2θ ≤ 90°, in order of rising 2θ:
2θ 19.96, intensity 34, hkl 1 1 1; 2θ 21.55, intensity 58, hkl 0 2 0; 2θ 25.10, intensity 100, hkl 1 2 0; 2θ 25.57, intensity 60, hkl 2 0 0; 2θ 27.45, intensity 37, hkl 0 2 2; 2θ 27.57, intensity 88, hkl 0 1 3; 2θ 27.85, intensity 89, hkl 1 1 -3; 2θ 28.64, intensity 37, hkl 1 2 -2; 2θ 32.88, intensity 44, hkl 1 1 3; 2θ 33.67, intensity 64, hkl 2 2 0

Atomic structure:
Unit cell a=7.157 b=8.245 c=10.839 alpha=90.00 beta=103.20 gamma=90.00
Space group P2_1/c (No. 14)
One atom of each set of equivalent atoms:
K1 0.030 0.181 0.326 [4 per cell]
U1 0.491 0.505 0.678 [4 per cell]
V1 0.381 0.642 0.026 [4 per cell]
O1 0.149 0.609 0.976 [4 per cell]
O2 0.240 0.062 0.143 [4 per cell]
O3 0.255 0.065 0.786 [4 per cell]
O4 0.404 0.720 0.191 [4 per cell]
O5 0.443 0.656 0.483 [4 per cell]
O6 0.479 0.541 0.891 [4 per cell]